# Nd3Ge6Pt4
Computed XRD peak list, Cu Kα (weighted mean of Kα1 and Kα2). Input: a crystal structure in the Materials Project, relaxed with GGA-PBE.
No peak broadening, texture or thermal motion is included.

Structure:
```
52
Lattice="26.2728 0.0000 0.0000 0.0000 4.4664 0.0000 0.0000 0.0000 8.9457" Properties=species:S:1:pos:R:3 pbc="T T T"
Nd 2.4156 1.1166 1.0407
Nd 2.4252 1.1166 5.6585
Nd 5.8004 1.1166 7.8277
Nd 7.3360 3.3498 3.3549
Nd 10.7112 3.3498 1.1856
Nd 10.7208 3.3498 5.5135
Nd 15.5520 1.1166 3.4321
Nd 15.5616 1.1166 7.7601
Nd 18.9368 1.1166 5.5908
Nd 20.4724 3.3498 1.1180
Nd 23.8475 3.3498 3.2872
Nd 23.8572 3.3498 7.9050
Ge 0.0326 1.1166 3.3691
Ge 0.0615 3.3498 1.1459
Ge 3.6318 3.3498 7.8131
Ge 3.7165 3.3498 3.3377
Ge 5.6272 1.1166 2.0281
Ge 5.6365 1.1166 4.6851
Ge 7.4999 3.3498 0.2123
Ge 7.5092 3.3498 6.5009
Ge 9.4198 1.1166 7.8105
Ge 9.5046 1.1166 3.3403
Ge 13.0749 1.1166 5.6187
Ge 13.1038 3.3498 7.8419
Ge 13.1690 1.1166 1.1038
Ge 13.1979 3.3498 3.3270
Ge 16.7682 3.3498 5.6054
Ge 16.8529 3.3498 1.1352
Ge 18.7636 1.1166 2.4448
Ge 18.7729 1.1166 8.7334
Ge 20.6363 3.3498 4.2605
Ge 20.6456 3.3498 6.9176
Ge 22.5562 1.1166 5.6080
Ge 22.6410 1.1166 1.1325
Ge 26.2113 1.1166 7.7998
Ge 26.2402 3.3498 5.5766
Pt 1.1482 3.3498 7.8052
Pt 1.2658 3.3498 3.3851
Pt 4.9217 3.3498 1.1103
Pt 4.9181 3.3498 5.5827
Pt 8.2183 1.1166 1.1098
Pt 8.2147 1.1166 5.5832
Pt 11.8706 1.1166 7.8580
Pt 11.9882 1.1166 3.3324
Pt 14.2846 3.3498 5.6133
Pt 14.4022 3.3498 1.0877
Pt 18.0580 3.3498 3.3625
Pt 18.0545 3.3498 7.8359
Pt 21.3547 1.1166 3.3630
Pt 21.3511 1.1166 7.8354
Pt 25.0070 1.1166 5.5605
Pt 25.1246 1.1166 1.1405
```

Peak list (12 most intense, 2θ from 15° to 90°, by intensity)
h k l	2θ/deg	Rel. int.
5 1 2	33.1	100
0 2 0	40.4	89
8 1 0	33.9	59
9 0 2	36.8	46
1 1 2	28.4	30
9 2 2	55.8	28
0 2 4	58.4	25
11 1 2	47.7	20
5 0 2	26.2	17
3 1 2	30.1	17
8 1 4	53.7	16
14 1 0	52.9	16